Diffraction record for CuH4C2S2N2O2. The powder diffractogram is theoretical, not measured: it uses a DFT-relaxed cell (PBE, the Materials Project) and Cu Kα (λ = 1.5418 Å).
Intensities are scaled so that the largest is 100.

Cell and atoms:
abc: 15.485 5.477 8.898
angles: 90.00 90.00 90.00
Element x y z (fractional)
1 Cu 0.178 0.250 0.106
2 Cu 0.322 0.750 0.606
3 Cu 0.678 0.250 0.394
4 Cu 0.822 0.750 0.894
5 H 0.032 0.105 0.268
6 H 0.032 0.395 0.268
7 H 0.150 0.608 0.547
8 H 0.150 0.892 0.547
9 H 0.350 0.108 0.047
10 H 0.350 0.392 0.047
11 H 0.468 0.605 0.768
12 H 0.468 0.895 0.768
13 H 0.532 0.105 0.232
14 H 0.532 0.395 0.232
15 H 0.650 0.608 0.953
16 H 0.650 0.892 0.953
17 H 0.850 0.108 0.453
18 H 0.850 0.392 0.453
19 H 0.968 0.605 0.732
20 H 0.968 0.895 0.732
21 C 0.095 0.250 0.796
22 C 0.232 0.750 0.913
23 C 0.268 0.250 0.413
24 C 0.405 0.750 0.296
25 C 0.595 0.250 0.704
26 C 0.732 0.750 0.587
27 C 0.768 0.250 0.087
28 C 0.905 0.750 0.204
29 S 0.044 0.250 0.635
30 S 0.183 0.750 0.076
31 S 0.317 0.250 0.576
32 S 0.456 0.750 0.135
33 S 0.544 0.250 0.865
34 S 0.683 0.750 0.424
35 S 0.817 0.250 0.924
36 S 0.956 0.750 0.365
37 N 0.132 0.250 0.912
38 N 0.229 0.250 0.299
39 N 0.271 0.750 0.799
40 N 0.368 0.750 0.412
41 N 0.632 0.250 0.588
42 N 0.729 0.250 0.201
43 N 0.771 0.750 0.701
44 N 0.868 0.750 0.088
45 O 0.046 0.250 0.207
46 O 0.181 0.750 0.506
47 O 0.319 0.250 0.006
48 O 0.454 0.750 0.707
49 O 0.546 0.250 0.293
50 O 0.681 0.750 0.994
51 O 0.819 0.250 0.494
52 O 0.954 0.750 0.793

Principal peaks in the range 10° ≤ 2θ ≤ 90°, sorted by position:
2theta, I_rel, index
11.44, 47, 2 0 0
19.87, 100, 3 0 1
20.77, 29, 1 0 2
22.25, 23, 2 1 1
25.09, 21, 4 0 1
32.70, 47, 0 2 0
34.76, 28, 6 0 0
38.57, 22, 3 2 1
39.06, 17, 1 2 2
45.81, 17, 7 0 2